[1]
CeMg2Ni9: simulated X-ray diffraction stick pattern (Cu Kα), based on the GGA-PBE geometry in Alexandria.
No peak broadening, texture or thermal motion is included.

Most intense lines, 15 to 90 degrees two-theta, in order of rising 2θ:
2θ = 25.98°, 3.430 Å, I = 19, hkl 1 0 4; 2θ = 33.99°, 2.638 Å, I = 15, hkl 0 0 9; 2θ = 37.06°, 2.426 Å, I = 32, hkl 1 1 0; 2θ = 43.20°, 2.094 Å, I = 25, hkl 0 2 1; 2θ = 43.75°, 2.069 Å, I = 100, hkl 1 1 6; 2θ = 45.90°, 1.977 Å, I = 25, hkl 0 0 12; 2θ = 47.30°, 1.922 Å, I = 18, hkl 2 0 5; 2θ = 51.14°, 1.786 Å, I = 14, hkl 0 2 7; 2θ = 71.40°, 1.321 Å, I = 18, hkl 0 3 6; 2θ = 78.86°, 1.214 Å, I = 16, hkl 2 2 0

Cell and atoms:
a b c (Å): 4.8552 4.8552 23.7229
angles (deg): 90.00 90.00 120.00
Space group R-3m (No. 166, hexagonal axes)
Asymmetric unit:
Ce  0.0000  0.0000  0.0000
Mg  0.0000  0.0000  0.1445
Ni  0.0000  0.0000  0.3338
Ni  0.0000  0.0000  0.5000
Ni  0.0027  0.5013  0.9150

***

[2]
SmTh2Co6: simulated X-ray diffraction stick pattern (Cu Kα), based on the GGA-PBE geometry in Alexandria.
No peak broadening, texture or thermal motion is included.

Most intense lines, 15 to 90 degrees two-theta, in order of rising 2θ:
2θ = 26.10°, 3.414 Å, I = 27, hkl 1 1 0; 2θ = 34.48°, 2.601 Å, I = 100, hkl 1 1 1; 2θ = 45.17°, 2.007 Å, I = 12, hkl 0 0 2; 2θ = 46.05°, 1.971 Å, I = 34, hkl 3 0 0; 2θ = 52.91°, 1.730 Å, I = 9, hkl 1 1 2; 2θ = 58.78°, 1.571 Å, I = 21, hkl 2 2 1; 2θ = 66.48°, 1.406 Å, I = 22, hkl 3 0 2; 2θ = 76.45°, 1.246 Å, I = 10, hkl 1 1 3; 2θ = 77.74°, 1.229 Å, I = 19, hkl 4 1 1; 2θ = 85.28°, 1.138 Å, I = 6, hkl 3 3 0

Cell and atoms:
a b c (Å): 6.8282 6.8282 4.0147
angles (deg): 90.00 90.00 120.00
Space group P6/mmm (No. 191)
Asymmetric unit:
Sm  0.0000  0.0000  0.0000
Th  0.3333  0.6667  0.0000
Co  0.0000  0.3346  0.5000